1.
Calculated XRD peak list of La6Ho3Tm for Cu Kα, from the PBE geometry in Alexandria.

Main lines, by angle (2θ from 15° to 90°):
| d [Å] | 2theta | I (rel.) | (hkl) |
| --- | --- | --- | --- |
| 3.223 | 27.68 | 36 | 1 2 2 |
| 3.176 | 28.10 | 44 | 1 1 3 |
| 2.986 | 29.93 | 22 | 0 1 4 |
| 2.821 | 31.72 | 100 | 1 3 -1 |
| 2.805 | 31.91 | 63 | 2 0 0 |
| 2.792 | 32.06 | 32 | 1 2 3 |
| 2.729 | 32.81 | 35 | 1 0 -4 |
| 2.625 | 34.15 | 25 | 0 3 3 |
| 1.917 | 47.43 | 18 | 2 3 3 |
| 1.622 | 56.74 | 19 | 3 3 -1 |

Crystal structure
abc: 5.6094 10.1436 12.4965
angles: 90.00 90.06 90.00
Space group P2_1/c (No. 14)
One atom of each set of equivalent atoms:
La1 0.0003 0.1809 0.1718
La2 0.4992 0.0528 0.7214
La3 0.4997 0.1876 0.4833
Ho1 0.0000 0.0000 0.5000
Ho2 0.9996 0.1446 0.9041
Tm1 0.5000 0.0000 0.0000

2.
Calculated XRD peak list of SmBi2Sb2Pt7 for Cu Kα, from the PBE geometry in Alexandria.

Main lines, by angle (2θ from 15° to 90°):
| d [Å] | 2theta | I (rel.) | (hkl) |
| --- | --- | --- | --- |
| 2.848 | 31.41 | 72 | 2 0 0 |
| 2.724 | 32.88 | 30 | 2 0 1 |
| 2.548 | 35.23 | 70 | 2 0 -4 |
| 2.350 | 38.29 | 50 | 2 0 3 |
| 2.302 | 39.13 | 33 | 0 0 7 |
| 2.153 | 41.96 | 100 | 0 2 5 |
| 2.046 | 44.26 | 95 | 2 2 -1 |
| 1.529 | 60.54 | 37 | 2 2 6 |
| 1.447 | 64.39 | 31 | 0 4 0 |
| 1.201 | 79.87 | 32 | 4 2 -7 |

Crystal structure
abc: 5.7865 5.7893 16.3694
angles: 90.00 100.13 90.00
Space group C2/m (No. 12)
One atom of each set of equivalent atoms:
Sm1 0.0000 0.0000 0.0000
Bi1 0.2134 0.0000 0.4260
Sb1 0.1194 0.5000 0.2390
Pt1 0.0000 0.5000 0.0000
Pt2 0.1827 0.2500 0.8655
Pt3 0.2017 0.5000 0.4015

3.
Calculated XRD peak list of NaTc2RuO8 for Cu Kα, from the PBE geometry in Alexandria.

Main lines, by angle (2θ from 15° to 90°):
| d [Å] | 2theta | I (rel.) | (hkl) |
| --- | --- | --- | --- |
| 3.943 | 22.55 | 100 | 0 1 1 |
| 2.861 | 31.26 | 46 | 1 1 0 |
| 2.720 | 32.93 | 28 | 1 0 2 |
| 1.987 | 45.65 | 10 | 1 0 3 |
| 1.971 | 46.04 | 19 | 0 2 2 |
| 1.800 | 50.72 | 21 | 1 2 1 |
| 1.652 | 55.64 | 9 | 3 0 0 |
| 1.623 | 56.71 | 13 | 2 1 2 |
| 1.431 | 65.22 | 9 | 2 2 0 |
| 1.414 | 66.06 | 9 | 1 1 4 |

Crystal structure
abc: 5.7222 5.7222 6.5080
angles: 90.00 90.00 120.00
Space group P-3m1 (No. 164)
One atom of each set of equivalent atoms:
Na1 0.0000 0.0000 0.0000
Tc1 0.3333 0.6667 0.7723
Ru1 0.0000 0.0000 0.5000
O1 0.1603 0.3207 0.6880
O2 0.3333 0.6667 0.0392

4.
Calculated XRD peak list of LiPmGdEr for Cu Kα, from the PBE geometry in Alexandria.

Main lines, by angle (2θ from 15° to 90°):
| d [Å] | 2theta | I (rel.) | (hkl) |
| --- | --- | --- | --- |
| 4.506 | 19.70 | 26 | 1 1 1 |
| 3.902 | 22.79 | 10 | 2 0 0 |
| 2.759 | 32.45 | 100 | 2 2 0 |
| 2.353 | 38.25 | 15 | 3 1 1 |
| 1.951 | 46.54 | 18 | 4 0 0 |
| 1.791 | 51.01 | 7 | 3 3 1 |
| 1.593 | 57.88 | 39 | 4 2 2 |
| 1.502 | 61.76 | 5 | 5 1 1 |
| 1.380 | 67.94 | 12 | 4 4 0 |
| 1.234 | 77.32 | 17 | 6 2 0 |

Crystal structure
abc: 7.8048 7.8048 7.8048
angles: 90.00 90.00 90.00
Space group F-43m (No. 216)
One atom of each set of equivalent atoms:
Li1 0.0000 0.0000 0.0000
Pm1 0.2500 0.2500 0.2500
Gd1 0.2500 0.2500 0.7500
Er1 0.0000 0.0000 0.5000